This entry pairs a crystal structure of CsNaAuCl3 with its theoretical powder diffractogram. Radiation: Cu Kα (weighted mean of Kα1 and Kα2). Structure: a structure optimized by DFT (PBE).
No peak broadening, texture or thermal motion is included.

Main lines, by intensity (15° ≤ 2θ ≤ 90°):
| 2θ (°) | I (rel.) |
| --- | --- |
| 26.58 | 100 |
| 21.19 | 65 |
| 15.10 | 47 |
| 40.63 | 38 |
| 28.75 | 36 |
| 22.56 | 35 |
| 36.29 | 29 |
| 30.62 | 27 |
| 18.54 | 26 |
| 33.42 | 25 |
| 45.28 | 25 |
| 26.45 | 24 |

Structure:
```
CsNaAuCl3
1.0
8.570 -3.658 0.000
8.570 3.658 0.000
-1.415 0.000 6.724
Cs Na Au Cl
2 2 2 6
Direct
0.242 0.242 0.209
0.758 0.758 0.791
0.434 0.434 0.815
0.566 0.566 0.185
0.245 0.755 0.500
0.755 0.245 0.500
0.187 0.680 0.174
0.281 0.281 0.722
0.320 0.813 0.826
0.680 0.187 0.174
0.719 0.719 0.278
0.813 0.320 0.826
```



This entry pairs a crystal structure of Cs6AuCl2O with its theoretical powder diffractogram. Radiation: Cu Kα (weighted mean of Kα1 and Kα2). Structure: a structure optimized by DFT (PBE).
No peak broadening, texture or thermal motion is included.

Main lines, by intensity (15° ≤ 2θ ≤ 90°):
| 2θ (°) | I (rel.) |
| --- | --- |
| 23.77 | 100 |
| 31.01 | 44 |
| 36.52 | 27 |
| 40.51 | 19 |
| 35.62 | 17 |
| 24.41 | 16 |
| 32.31 | 15 |
| 22.70 | 12 |
| 22.42 | 10 |
| 44.05 | 10 |
| 48.64 | 9 |
| 28.56 | 9 |

Structure:
```
Cs6AuCl2O
1.0
4.262 2.461 7.834
-4.262 2.461 7.834
0.000 -4.921 7.834
Cs Au Cl O
6 1 2 1
Direct
0.012 0.721 0.268
0.171 0.431 0.852
0.268 0.012 0.721
0.431 0.852 0.171
0.721 0.268 0.012
0.852 0.171 0.431
0.592 0.592 0.592
0.403 0.403 0.403
0.886 0.886 0.886
0.079 0.079 0.079
```



This entry pairs a crystal structure of Cs2PmAuCl6 with its theoretical powder diffractogram. Radiation: Cu Kα (weighted mean of Kα1 and Kα2). Structure: a structure optimized by DFT (PBE).
No peak broadening, texture or thermal motion is included.

Main lines, by intensity (15° ≤ 2θ ≤ 90°):
| 2θ (°) | I (rel.) |
| --- | --- |
| 23.04 | 100 |
| 21.17 | 61 |
| 30.12 | 59 |
| 38.26 | 53 |
| 47.08 | 32 |
| 41.54 | 21 |
| 43.11 | 21 |
| 35.31 | 19 |
| 56.91 | 18 |
| 58.99 | 16 |
| 48.51 | 15 |
| 61.41 | 15 |

Structure:
```
Cs2PmAuCl6
1.0
6.592 -4.194 0.000
6.592 4.194 0.000
-5.346 0.000 6.475
Cs Pm Au Cl
2 1 1 6
Direct
0.250 0.250 0.250
0.750 0.750 0.750
0.000 0.000 0.500
0.500 0.500 0.000
0.227 0.773 0.273
0.227 0.773 0.727
0.270 0.270 0.770
0.730 0.730 0.230
0.773 0.227 0.273
0.773 0.227 0.727
```



This entry pairs a crystal structure of Cs2PtAuCl6 with its theoretical powder diffractogram. Radiation: Cu Kα (weighted mean of Kα1 and Kα2). Structure: a structure optimized by DFT (PBE).
No peak broadening, texture or thermal motion is included.

Main lines, by intensity (15° ≤ 2θ ≤ 90°):
| 2θ (°) | I (rel.) |
| --- | --- |
| 24.18 | 100 |
| 23.35 | 55 |
| 33.26 | 47 |
| 41.54 | 46 |
| 49.54 | 30 |
| 43.04 | 22 |
| 35.63 | 20 |
| 47.74 | 16 |
| 16.45 | 16 |
| 60.97 | 15 |
| 66.22 | 14 |
| 65.11 | 14 |

Structure:
```
Cs2PtAuCl6
1.0
-3.810 3.810 5.039
3.810 -3.810 5.039
3.810 3.810 -5.039
Cs Pt Au Cl
2 1 1 6
Direct
0.250 0.750 0.500
0.750 0.250 0.500
0.000 0.000 0.000
0.500 0.500 0.000
0.220 0.220 0.440
0.220 0.780 0.000
0.263 0.263 0.000
0.737 0.737 0.000
0.780 0.220 0.000
0.780 0.780 0.560
```



This entry pairs a crystal structure of Cs6Rb2AuCl with its theoretical powder diffractogram. Radiation: Cu Kα (weighted mean of Kα1 and Kα2). Structure: a structure optimized by DFT (PBE).
No peak broadening, texture or thermal motion is included.

Main lines, by intensity (15° ≤ 2θ ≤ 90°):
| 2θ (°) | I (rel.) |
| --- | --- |
| 24.16 | 100 |
| 34.43 | 79 |
| 20.89 | 70 |
| 55.81 | 39 |
| 40.62 | 36 |
| 42.51 | 29 |
| 61.68 | 29 |
| 27.07 | 22 |
| 54.28 | 15 |
| 49.49 | 14 |
| 36.59 | 12 |
| 19.99 | 12 |

Structure:
```
Cs6Rb2AuCl
1.0
7.363 -7.364 0.000
7.363 7.364 0.000
-7.355 0.000 7.373
Cs Rb Au Cl
6 2 1 1
Direct
0.000 0.000 0.000
0.000 0.000 0.492
0.000 0.492 0.492
0.491 0.491 0.492
0.492 0.000 0.492
0.492 0.492 0.985
0.497 0.997 0.992
0.997 0.497 0.992
0.745 0.745 0.492
0.245 0.245 0.492
```



This entry pairs a crystal structure of Cs2TeAuCl6 with its theoretical powder diffractogram. Radiation: Cu Kα (weighted mean of Kα1 and Kα2). Structure: a structure optimized by DFT (PBE).
No peak broadening, texture or thermal motion is included.

Main lines, by intensity (15° ≤ 2θ ≤ 90°):
| 2θ (°) | I (rel.) |
| --- | --- |
| 22.54 | 100 |
| 22.28 | 50 |
| 31.71 | 49 |
| 39.26 | 46 |
| 46.02 | 31 |
| 32.47 | 22 |
| 39.73 | 21 |
| 45.46 | 17 |
| 56.97 | 16 |
| 62.50 | 14 |
| 61.60 | 14 |
| 52.34 | 13 |

Structure:
```
Cs2TeAuCl6
1.0
-3.990 3.990 5.516
3.990 -3.990 5.516
3.990 3.990 -5.516
Cs Te Au Cl
2 1 1 6
Direct
0.250 0.750 0.500
0.750 0.250 0.500
0.000 0.000 0.000
0.500 0.500 0.000
0.228 0.228 0.455
0.228 0.772 0.000
0.288 0.288 0.000
0.712 0.712 0.000
0.772 0.228 0.000
0.772 0.772 0.545
```